# Mn3VF8
Calculated X-ray powder pattern, copper Kα. Input: a structure optimized by DFT (GGA+U).
No peak broadening, texture or thermal motion is included.

Peak list (6 most intense, 10 to 90 degrees two-theta, by angle)
- 2θ = 17.92°, 4.951 Å, I = 92
- 2θ = 22.66°, 3.925 Å, I = 100
- 2θ = 33.20°, 2.699 Å, I = 30
- 2θ = 35.45°, 2.532 Å, I = 43
- 2θ = 42.47°, 2.129 Å, I = 71
- 2θ = 56.48°, 1.629 Å, I = 38

Structure:
Lattice parameters (Å, degrees): 5.8046 5.8046 6.4377 90.00 90.00 121.47
Sites, in units of the cell vectors:
1 Mn 0.0000 0.0000 0.0000
2 Mn 0.0000 0.5000 0.7497
3 Mn 0.5000 0.0000 0.2503
4 V 0.0000 0.0000 0.5000
5 F 0.2022 0.2737 0.7493
6 F 0.2102 0.7898 0.5000
7 F 0.2134 0.7866 0.0000
8 F 0.2737 0.2022 0.2507
9 F 0.7263 0.7978 0.2507
10 F 0.7866 0.2134 0.0000
11 F 0.7898 0.2102 0.5000
12 F 0.7978 0.7263 0.7493